1.
This entry pairs a crystal structure of ScReGe2 with its computed powder diffraction line list. Radiation: Cu Kα. Structure: a cell relaxed with PBE.
Peak positions follow from Bragg's law for the DFT cell and can differ from measured ones.

Cell and atoms:
```
48
Lattice="9.461 0.000 0.000 0.000 10.226 0.000 0.000 0.000 8.382" Properties=species:S:1:pos:R:3 pbc="T T T"
Sc 1.560 1.815 0.000
Sc 1.608 4.621 2.047
Sc 1.608 4.621 6.335
Sc 3.122 9.735 2.047
Sc 3.122 9.735 6.335
Sc 3.170 6.928 0.000
Sc 6.290 3.298 0.000
Sc 6.338 0.492 2.047
Sc 6.338 0.492 6.335
Sc 7.853 5.605 2.047
Sc 7.853 5.605 6.335
Sc 7.901 8.411 0.000
Re 0.000 0.000 2.031
Re 0.000 0.000 6.351
Re 0.743 7.650 2.088
Re 0.743 7.650 6.294
Re 3.988 2.537 2.088
Re 3.988 2.537 6.294
Re 4.730 5.113 2.031
Re 4.730 5.113 6.351
Re 5.473 7.689 2.088
Re 5.473 7.689 6.294
Re 8.718 2.576 2.088
Re 8.718 2.576 6.294
Ge 0.326 6.343 4.191
Ge 0.397 6.318 0.000
Ge 1.282 9.329 4.191
Ge 1.348 9.217 0.000
Ge 1.642 1.846 2.908
Ge 1.642 1.846 5.474
Ge 3.088 6.959 2.908
Ge 3.088 6.959 5.474
Ge 3.382 4.104 0.000
Ge 3.449 4.216 4.191
Ge 4.333 1.205 0.000
Ge 4.405 1.230 4.191
Ge 5.056 8.996 4.191
Ge 5.127 9.021 0.000
Ge 6.012 6.010 4.191
Ge 6.078 6.122 0.000
Ge 6.373 3.267 2.908
Ge 6.373 3.267 5.474
Ge 7.818 8.381 2.908
Ge 7.818 8.381 5.474
Ge 8.113 1.009 0.000
Ge 8.179 0.897 4.191
Ge 9.064 3.908 0.000
Ge 9.135 3.883 4.191
```

Main lines, by angle (2θ from 5° to 70°):
12.75 deg, rel. 33.9; 18.76 deg, rel. 36.3; 20.69 deg, rel. 36.0; 21.20 deg, rel. 29.0; 24.81 deg, rel. 17.9; 36.73 deg, rel. 54.1; 38.91 deg, rel. 28.6; 39.05 deg, rel. 100.0; 41.37 deg, rel. 61.6; 43.17 deg, rel. 29.2; 45.79 deg, rel. 30.8; 48.33 deg, rel. 24.9

---

2.
This entry pairs a crystal structure of Th4ReGeSe2 with its computed powder diffraction line list. Radiation: Cu Kα. Structure: a cell relaxed with PBE.
Peak positions follow from Bragg's law for the DFT cell and can differ from measured ones.

Cell and atoms:
```
8
Lattice="7.429 0.000 0.000 0.000 4.202 0.000 -2.363 0.000 7.097" Properties=species:S:1:pos:R:3 pbc="T T T"
Th 1.168 0.000 1.576
Th -0.034 2.101 5.475
Th 5.101 2.101 1.622
Th 3.898 0.000 5.521
Re 0.000 2.101 0.000
Ge 3.715 0.000 0.000
Se -1.181 0.000 3.549
Se 2.533 2.101 3.549
```

Main lines, by angle (2θ from 5° to 70°):
12.51 deg, rel. 13.6; 25.82 deg, rel. 11.9; 29.53 deg, rel. 100.0; 41.42 deg, rel. 12.2; 42.15 deg, rel. 23.7; 42.37 deg, rel. 25.1; 43.05 deg, rel. 12.7; 51.89 deg, rel. 6.5; 53.07 deg, rel. 14.4; 61.29 deg, rel. 11.5; 69.33 deg, rel. 9.3; 69.65 deg, rel. 10.7

---

3.
This entry pairs a crystal structure of Re2Tc3Ge2 with its computed powder diffraction line list. Radiation: Cu Kα. Structure: a cell relaxed with PBE.
Peak positions follow from Bragg's law for the DFT cell and can differ from measured ones.

Cell and atoms:
```
14
Lattice="13.036 0.000 0.000 0.000 4.273 0.000 -1.345 0.000 3.968" Properties=species:S:1:pos:R:3 pbc="T T T"
Re 1.344 0.000 0.453
Re 3.830 2.137 3.515
Re 7.862 2.137 0.453
Re 10.348 0.000 3.515
Tc 0.000 2.137 0.000
Tc 2.133 0.000 2.934
Tc 3.040 2.137 1.034
Tc 6.518 0.000 0.000
Tc 8.652 2.137 2.934
Tc 9.558 0.000 1.034
Ge 0.733 2.137 2.462
Ge 4.441 0.000 1.505
Ge 7.251 0.000 2.462
Ge 10.959 2.137 1.505
```

Main lines, by angle (2θ from 5° to 70°):
22.41 deg, rel. 25.9; 28.93 deg, rel. 4.6; 29.87 deg, rel. 9.0; 30.15 deg, rel. 11.8; 33.28 deg, rel. 7.2; 42.06 deg, rel. 100.0; 42.30 deg, rel. 30.5; 43.19 deg, rel. 24.3; 48.39 deg, rel. 6.8; 53.57 deg, rel. 4.8; 59.94 deg, rel. 7.5; 62.05 deg, rel. 19.5

---

4.
This entry pairs a crystal structure of V5ReGe5 with its computed powder diffraction line list. Radiation: Cu Kα. Structure: a cell relaxed with PBE.
Peak positions follow from Bragg's law for the DFT cell and can differ from measured ones.

Cell and atoms:
```
11
Lattice="5.811 -2.382 0.000 5.811 2.382 0.000 -1.915 0.000 6.229" Properties=species:S:1:pos:R:3 pbc="T T T"
V 0.000 0.000 0.000
V 3.974 0.000 0.803
V 3.156 0.000 4.913
V 6.551 0.000 1.316
V 5.733 0.000 5.426
Re -0.958 0.000 3.114
Ge 0.580 0.000 5.050
Ge 1.552 0.000 2.390
Ge 4.854 0.000 3.114
Ge 8.156 0.000 3.838
Ge 9.127 0.000 1.179
```

Main lines, by angle (2θ from 5° to 70°):
14.22 deg, rel. 43.6; 18.00 deg, rel. 30.8; 23.44 deg, rel. 30.5; 36.47 deg, rel. 83.6; 36.96 deg, rel. 41.6; 37.01 deg, rel. 51.6; 37.32 deg, rel. 46.2; 37.76 deg, rel. 100.0; 39.21 deg, rel. 27.5; 45.02 deg, rel. 61.2; 53.51 deg, rel. 53.7; 53.91 deg, rel. 34.2

---

5.
This entry pairs a crystal structure of YReGe4 with its computed powder diffraction line list. Radiation: Cu Kα. Structure: a cell relaxed with PBE.
Peak positions follow from Bragg's law for the DFT cell and can differ from measured ones.

Cell and atoms:
```
12
Lattice="6.417 0.000 0.000 3.203 5.562 0.000 0.112 0.065 6.849" Properties=species:S:1:pos:R:3 pbc="T T T"
Y 1.919 2.289 1.711
Y 7.812 3.338 5.138
Re 0.056 0.032 3.425
Re 4.810 2.781 0.000
Ge 3.717 4.836 1.039
Ge 2.375 0.614 4.037
Ge 4.497 3.624 4.464
Ge 3.262 1.125 6.236
Ge 6.469 4.503 0.613
Ge 5.234 2.004 2.385
Ge 7.356 5.014 2.812
Ge 6.014 0.791 5.810
```

Main lines, by angle (2θ from 5° to 70°):
20.48 deg, rel. 44.0; 20.67 deg, rel. 54.9; 30.53 deg, rel. 49.3; 30.94 deg, rel. 25.8; 32.22 deg, rel. 100.0; 34.94 deg, rel. 59.2; 38.42 deg, rel. 26.0; 42.98 deg, rel. 70.0; 44.93 deg, rel. 25.7; 48.56 deg, rel. 38.1; 50.62 deg, rel. 27.6; 50.90 deg, rel. 29.1

---

6.
This entry pairs a crystal structure of Ge4Rh3 with its computed powder diffraction line list. Radiation: Cu Kα. Structure: a cell relaxed with PBE.
Peak positions follow from Bragg's law for the DFT cell and can differ from measured ones.

Cell and atoms:
```
14
Lattice="4.184 2.416 4.146 -4.184 2.416 4.146 0.000 -4.831 4.146" Properties=species:S:1:pos:R:3 pbc="T T T"
Ge 0.000 0.000 2.572
Ge -2.059 -1.189 7.189
Ge 0.000 -2.378 5.248
Ge -2.059 1.189 5.248
Ge 2.059 -1.189 7.189
Ge 0.000 2.378 7.189
Ge 2.059 1.189 5.248
Ge 0.000 0.000 9.865
Rh 0.000 0.000 0.000
Rh -4.184 0.000 6.219
Rh -2.092 1.208 2.073
Rh 0.000 0.000 4.862
Rh 2.092 1.208 2.073
Rh 0.000 0.000 7.576
```

Main lines, by angle (2θ from 5° to 70°):
21.23 deg, rel. 19.5; 21.43 deg, rel. 10.0; 25.61 deg, rel. 27.9; 30.35 deg, rel. 16.3; 31.30 deg, rel. 12.0; 38.14 deg, rel. 52.3; 38.25 deg, rel. 27.7; 43.25 deg, rel. 100.0; 49.50 deg, rel. 23.5; 59.05 deg, rel. 29.4; 65.31 deg, rel. 15.9; 67.80 deg, rel. 11.2

---

7.
This entry pairs a crystal structure of Ge4Rh with its computed powder diffraction line list. Radiation: Cu Kα. Structure: a cell relaxed with PBE.
Peak positions follow from Bragg's law for the DFT cell and can differ from measured ones.

Cell and atoms:
```
15
Lattice="6.257 0.000 0.000 -3.129 5.419 0.000 0.000 0.000 7.926" Properties=species:S:1:pos:R:3 pbc="T T T"
Ge -0.251 0.436 1.321
Ge -1.927 3.337 1.321
Ge 0.503 0.000 6.605
Ge -0.120 2.635 7.494
Ge -0.787 4.205 4.852
Ge 1.202 2.082 3.963
Ge 2.342 1.213 0.432
Ge 0.907 3.998 2.210
Ge 3.854 0.000 6.605
Ge 3.009 2.784 5.716
Ge 4.035 1.421 3.074
Ge 2.877 4.983 3.963
Rh -0.986 1.708 5.284
Rh 1.972 0.000 2.642
Rh 2.143 3.711 0.000
```

Main lines, by angle (2θ from 5° to 70°):
19.85 deg, rel. 35.7; 27.89 deg, rel. 43.7; 30.72 deg, rel. 33.7; 35.00 deg, rel. 84.7; 36.59 deg, rel. 60.0; 37.89 deg, rel. 38.1; 40.32 deg, rel. 35.5; 44.91 deg, rel. 51.4; 45.76 deg, rel. 100.0; 48.10 deg, rel. 23.3; 48.95 deg, rel. 39.9; 50.14 deg, rel. 30.3

---

8.
This entry pairs a crystal structure of GeRh with its computed powder diffraction line list. Radiation: Cu Kα. Structure: a cell relaxed with PBE.
Peak positions follow from Bragg's law for the DFT cell and can differ from measured ones.

Cell and atoms:
```
16
Lattice="5.898 0.000 0.000 0.000 6.177 0.000 0.000 0.000 7.069" Properties=species:S:1:pos:R:3 pbc="T T T"
Ge 0.766 0.010 1.154
Ge 0.765 2.603 6.961
Ge 2.184 3.574 3.427
Ge 2.183 6.166 4.689
Ge 3.714 0.486 0.108
Ge 3.715 3.078 5.915
Ge 5.132 3.098 2.380
Ge 5.133 5.691 3.642
Rh 0.040 3.636 4.727
Rh 0.929 1.397 3.100
Rh 2.020 4.779 6.635
Rh 2.909 2.541 1.193
Rh 2.990 5.629 2.342
Rh 3.878 1.691 3.969
Rh 4.970 4.486 0.434
Rh 5.858 0.547 5.876
```

Main lines, by angle (2θ from 5° to 70°):
24.37 deg, rel. 16.9; 32.91 deg, rel. 68.5; 33.68 deg, rel. 42.3; 35.17 deg, rel. 25.1; 36.06 deg, rel. 46.9; 41.75 deg, rel. 48.7; 42.52 deg, rel. 46.1; 43.90 deg, rel. 100.0; 44.36 deg, rel. 82.4; 45.91 deg, rel. 50.0; 48.03 deg, rel. 28.7; 54.18 deg, rel. 16.3